Diffraction record for LiTlS2. The X-ray diffraction stick pattern is simulated, not measured: it uses a cell relaxed with GGA-PBE and CuKα.
Kinematic intensities with the Lorentz-polarization factor, no thermal factor.

The 10 most intense peaks (2θ = 10–80°), by angle:
(hkl), d_spacing, 2θ/deg, I_rel
0 0 1, 6.000, 14.8, 100
1 1 0, 3.759, 23.7, 80
0 2 0, 3.631, 24.5, 39
1 1 -1, 3.293, 27.1, 86
0 2 1, 3.106, 28.7, 81
1 1 1, 3.088, 28.9, 92
1 1 -2, 2.431, 37.0, 46
0 2 2, 2.313, 38.9, 36
1 1 2, 2.267, 39.8, 30
1 3 0, 2.120, 42.6, 55

Structural model:
Cell lengths 4.4092, 7.2622, 6.0206 Å; angles 90.00, 94.80, 90.00 degrees
Sites, in units of the cell vectors:
Li  0.0000  0.0000  0.0000
Li  0.5000  0.5000  0.0000
Tl  0.0000  0.3421  0.5000
Tl  0.5000  0.8421  0.5000
S  0.0575  0.6798  0.8308
S  0.4425  0.1798  0.1692
S  0.5575  0.1798  0.8308
S  0.9425  0.6798  0.1692

=====

Diffraction record for PmMg3Zn4. The X-ray diffraction stick pattern is simulated, not measured: it uses a cell relaxed with GGA-PBE and CuKα.
Kinematic intensities with the Lorentz-polarization factor, no thermal factor.

The 10 most intense peaks (2θ = 10–80°), by angle:
(hkl), d_spacing, 2θ/deg, I_rel
0 1 0, 7.203, 12.3, 10
2 0 0, 4.683, 18.9, 15
2 1 0, 3.926, 22.6, 20
2 1 1, 3.009, 29.7, 17
2 2 1, 2.438, 36.9, 100
4 0 0, 2.342, 38.4, 46
4 0 2, 1.656, 55.5, 15
4 4 0, 1.427, 65.4, 16
6 2 1, 1.370, 68.5, 30
4 4 2, 1.219, 78.5, 9

Structural model:
Cell lengths 9.3628, 7.2029, 4.6851 Å; angles 90.00, 90.00, 90.00 degrees
Sites, in units of the cell vectors:
Pm  0.0000  0.0000  0.0000
Pm  0.5000  0.0000  0.0000
Mg  0.0000  0.5000  0.0000
Mg  0.2500  0.0000  0.4994
Mg  0.2500  0.5000  0.4979
Mg  0.5000  0.5000  0.0000
Mg  0.7500  0.0000  0.5006
Mg  0.7500  0.5000  0.5021
Zn  0.0000  0.2689  0.5000
Zn  0.0000  0.7311  0.5000
Zn  0.2500  0.2690  0.9979
Zn  0.2500  0.7310  0.9979
Zn  0.5000  0.2689  0.5000
Zn  0.5000  0.7311  0.5000
Zn  0.7500  0.2690  0.0021
Zn  0.7500  0.7310  0.0021

=====

Diffraction record for CePu3Pd12. The X-ray diffraction stick pattern is simulated, not measured: it uses a cell relaxed with GGA-PBE and CuKα.
Kinematic intensities with the Lorentz-polarization factor, no thermal factor.

The 10 most intense peaks (2θ = 10–80°), by angle:
(hkl), d_spacing, 2θ/deg, I_rel
1 0 0, 4.152, 21.4, 11
1 1 0, 2.936, 30.4, 9
1 1 4, 2.397, 37.5, 100
2 0 0, 2.078, 43.6, 33
0 0 8, 2.072, 43.7, 16
2 1 0, 1.858, 49.0, 4
2 1 4, 1.695, 54.1, 4
2 2 0, 1.468, 63.4, 32
3 1 4, 1.253, 76.0, 25
1 1 12, 1.250, 76.1, 13

Structural model:
Cell lengths 4.1555, 4.1555, 16.5787 Å; angles 90.00, 90.00, 90.00 degrees
Sites, in units of the cell vectors:
Ce  0.0000  0.0000  0.0000
Pu  0.0000  0.0000  0.2512
Pu  0.0000  0.0000  0.5000
Pu  0.0000  0.0000  0.7488
Pd  0.0000  0.5000  0.1238
Pd  0.0000  0.5000  0.3754
Pd  0.0000  0.5000  0.6246
Pd  0.0000  0.5000  0.8762
Pd  0.5000  0.0000  0.1238
Pd  0.5000  0.0000  0.3754
Pd  0.5000  0.0000  0.6246
Pd  0.5000  0.0000  0.8762
Pd  0.5000  0.5000  0.0000
Pd  0.5000  0.5000  0.2495
Pd  0.5000  0.5000  0.5000
Pd  0.5000  0.5000  0.7505